The following is a computed powder XRD pattern of Nb7Ni2N2. It was derived from DFT lattice parameters and positions (GGA-PBE), using λ = 1.5418 Å (Cu Kα).

Crystal structure
```
Nb7Ni2N2
1.0
-1.451 6.822 4.054
1.451 -6.822 4.054
1.451 6.822 -4.054
Nb Ni N
7 2 2
Direct
0.000 0.000 0.000 Nb
0.295 0.610 0.685 Nb
0.301 0.431 0.871 Nb
0.560 0.431 0.129 Nb
0.610 0.264 0.346 Nb
0.918 0.264 0.654 Nb
0.926 0.610 0.315 Nb
0.272 0.772 0.500 Ni
0.678 0.678 0.000 Ni
0.143 0.896 0.247 N
0.649 0.896 0.753 N
```

Top 10 peaks for 2θ = 10–90°, by intensity:
38.75°, intensity 100
42.38°, intensity 54
43.19°, intensity 30
39.63°, intensity 24
34.68°, intensity 21
36.74°, intensity 19
33.81°, intensity 18
35.39°, intensity 17
77.57°, intensity 17
32.78°, intensity 15

---

The following is a computed powder XRD pattern of PrDyGaSi. It was derived from DFT lattice parameters and positions (GGA-PBE), using λ = 1.5418 Å (Cu Kα).

Crystal structure
```
PrDyGaSi
1.0
4.018 0.000 0.000
0.000 2.196 5.522
0.000 -2.196 5.522
Pr Dy Ga Si
1 1 1 1
Direct
0.000 0.000 0.000 Pr
0.500 0.282 0.282 Dy
0.500 0.574 0.574 Ga
0.000 0.719 0.719 Si
```

Top 10 peaks for 2θ = 10–90°, by intensity:
31.24°, intensity 100
31.71°, intensity 54
27.45°, intensity 43
39.01°, intensity 41
32.43°, intensity 27
41.10°, intensity 25
56.21°, intensity 21
45.13°, intensity 19
50.14°, intensity 17
21.77°, intensity 16

---

The following is a computed powder XRD pattern of Ni21B6Pb2. It was derived from DFT lattice parameters and positions (GGA-PBE), using λ = 1.5418 Å (Cu Kα).

Crystal structure
```
Ni21B6Pb2
1.0
0.000 5.333 5.333
5.333 0.000 5.333
5.333 5.333 0.000
Ni B Pb
21 6 2
Direct
0.000 0.000 0.000 Ni
0.000 0.000 0.334 Ni
0.000 0.000 0.666 Ni
0.000 0.334 0.000 Ni
0.000 0.334 0.666 Ni
0.000 0.666 0.000 Ni
0.000 0.666 0.334 Ni
0.160 0.613 0.613 Ni
0.334 0.000 0.000 Ni
0.334 0.000 0.666 Ni
0.334 0.666 0.000 Ni
0.387 0.387 0.387 Ni
0.387 0.387 0.840 Ni
0.387 0.840 0.387 Ni
0.613 0.160 0.613 Ni
0.613 0.613 0.160 Ni
0.613 0.613 0.613 Ni
0.666 0.000 0.000 Ni
0.666 0.000 0.334 Ni
0.666 0.334 0.000 Ni
0.840 0.387 0.387 Ni
0.272 0.272 0.728 B
0.272 0.728 0.272 B
0.272 0.728 0.728 B
0.728 0.272 0.272 B
0.728 0.272 0.728 B
0.728 0.728 0.272 B
0.250 0.250 0.250 Pb
0.750 0.750 0.750 Pb
```

Top 10 peaks for 2θ = 10–90°, by intensity:
37.72°, intensity 100
44.12°, intensity 100
41.48°, intensity 89
75.66°, intensity 46
48.27°, intensity 43
23.59°, intensity 33
73.18°, intensity 30
16.62°, intensity 30
57.30°, intensity 28
50.63°, intensity 25